# Y8Tc
Simulated PXRD pattern, Cu Ka. Input: a cell relaxed with PBE.

Crystal structure
Cell lengths 10.334, 10.334, 4.876 Å; angles 90.00, 90.00, 90.00 degrees
Space group I4/mmm (No. 139)
Symmetry-distinct sites (fractional):
Y  0.000  0.320  0.000
Y  0.154  0.154  0.500
Tc  0.000  0.000  0.000

Largest 6 diffraction maxima, low angle first, 2θ = 10–90°:
| (hkl) | 2θ (°) | I (rel.) |
| --- | --- | --- |
| 3 0 1 | 31.81 | 100.0 |
| 0 0 2 | 36.89 | 49.1 |
| 3 3 2 | 53.16 | 31.6 |
| 3 0 3 | 63.29 | 35.3 |
| 6 0 2 | 66.46 | 10.0 |
| 6 3 3 | 87.19 | 13.0 |